Structure and calculated X-ray diffraction stick pattern of Li2Ni3P4O14 (a crystal structure in Alexandria, relaxed with PBE+U; CuKα).
Intensities are scaled so that the largest is 100.

Largest 6 diffraction maxima, low angle first, 2θ from 10° to 90°:
h k l	2θ/deg	intensity
1 0 0	12.94	100
1 1 -1	17.49	53
2 1 -2	29.24	49
1 2 1	29.61	62
1 1 2	29.77	57
1 2 -2	30.19	72

Structural model:
Cell: 7.2841 7.8773 9.4377 Å, 90.00 110.07 90.00°
Atoms (fractional coordinates):
Li 0.2069 0.0851 0.1349
Li 0.2069 0.4149 0.6349
Li 0.7931 0.5851 0.3651
Li 0.7931 0.9149 0.8651
Ni 0.3116 0.1253 0.4808
Ni 0.3116 0.3747 0.9808
Ni 0.5000 0.0000 0.0000
Ni 0.5000 0.5000 0.5000
Ni 0.6884 0.6253 0.0192
Ni 0.6884 0.8747 0.5192
P 0.0960 0.0479 0.7172
P 0.0960 0.4521 0.2172
P 0.3841 0.7064 0.1940
P 0.3841 0.7936 0.6940
P 0.6159 0.2064 0.3060
P 0.6159 0.2936 0.8060
P 0.9040 0.5479 0.7828
P 0.9040 0.9521 0.2828
O 0.1149 0.5044 0.7991
O 0.1149 0.9956 0.2991
O 0.1209 0.1666 0.5969
O 0.1209 0.3334 0.0969
O 0.1780 0.6377 0.1924
O 0.1780 0.8623 0.6924
O 0.2208 0.1094 0.8779
O 0.2208 0.3906 0.3779
O 0.3503 0.6212 0.6191
O 0.3503 0.8788 0.1191
O 0.4658 0.5793 0.1068
O 0.4658 0.9207 0.6068
O 0.4869 0.2054 0.1369
O 0.4869 0.2946 0.6369
O 0.5131 0.7054 0.3631
O 0.5131 0.7946 0.8631
O 0.5342 0.0793 0.3932
O 0.5342 0.4207 0.8932
O 0.6497 0.1212 0.8809
O 0.6497 0.3788 0.3809
O 0.7792 0.6095 0.6221
O 0.7792 0.8906 0.1221
O 0.8220 0.1377 0.3076
O 0.8220 0.3623 0.8076
O 0.8791 0.6666 0.9031
O 0.8791 0.8334 0.4031
O 0.8851 0.0044 0.7009
O 0.8851 0.4956 0.2009